No. 1
Structure and computed XRD peak list of Rb3NbCl8 (DFT lattice parameters and positions (PBE); Cu Kα).

```
24
Lattice="9.8943 0.0000 0.0000 -4.9472 8.5687 0.0000 0.0000 0.0000 9.4127" Properties=species:S:1:pos:R:3 pbc="T T T"
Rb 0.0000 2.6171 0.0000
Rb -2.6807 7.2602 0.0000
Rb 2.2665 1.3085 4.7063
Rb 2.6807 7.2602 0.0000
Rb 7.6279 1.3085 4.7063
Rb 4.9472 5.9516 4.7063
Nb 0.0000 5.7125 4.3576
Nb 4.9472 2.8562 9.0639
Cl 0.0000 0.0000 2.4788
Cl 0.0000 0.0000 7.1851
Cl -1.6897 4.7369 3.0163
Cl 0.0000 3.7591 5.7650
Cl -1.6917 6.6892 5.7650
Cl 0.0000 5.7125 9.1709
Cl 3.2555 1.8796 1.0586
Cl 1.6897 4.7369 3.0163
Cl 0.0000 7.6636 3.0163
Cl 4.9472 0.9052 7.7226
Cl 3.2575 3.8318 7.7226
Cl 1.6916 6.6892 5.7650
Cl 4.9472 2.8562 4.4646
Cl 6.6388 1.8796 1.0586
Cl 4.9472 4.8096 1.0586
Cl 6.6369 3.8318 7.7226
```

Most intense lines, 2θ from 10° to 90°, low angle first:
| 2theta | Rel. int. |
| --- | --- |
| 18.86 | 40 |
| 22.81 | 100 |
| 28.17 | 83 |
| 32.77 | 25 |
| 33.59 | 21 |
| 35.46 | 45 |
| 36.32 | 46 |
| 41.23 | 38 |
| 53.77 | 21 |
| 57.77 | 23 |

No. 2
Structure and computed XRD peak list of NpScAl4 (DFT lattice parameters and positions (PBE); Cu Kα).

```
6
Lattice="0.0000 3.8556 3.8556 3.8556 0.0000 3.8556 3.8556 3.8556 0.0000" Properties=species:S:1:pos:R:3 pbc="T T T"
Np 0.0000 0.0000 0.0000
Sc 5.7835 5.7835 5.7835
Al 2.8903 2.8903 2.8903
Al 4.8210 4.8210 2.8903
Al 4.8210 2.8903 4.8210
Al 2.8903 4.8210 4.8210
```

Most intense lines, 2θ from 10° to 90°, low angle first:
| 2theta | Rel. int. |
| --- | --- |
| 19.94 | 80 |
| 23.07 | 40 |
| 32.85 | 75 |
| 38.73 | 100 |
| 40.52 | 17 |
| 51.67 | 21 |
| 53.11 | 19 |
| 58.65 | 29 |
| 62.59 | 33 |
| 68.88 | 17 |